1.
The following is a theoretical X-ray diffraction stick pattern of La5DySn3. It was derived from the GGA-PBE geometry in Alexandria, using Cu Kα X-rays.
Neutral-atom scattering factors, no anomalous dispersion.

```
La5DySn3
1.0
9.7739 0.0000 0.0000
-4.8870 8.4645 0.0000
0.0000 0.0000 6.8732
La Dy Sn
10 2 6
Direct
0.0000 0.3321 0.2500
0.0000 0.6679 0.7500
0.3321 0.0000 0.2500
0.3321 0.3321 0.7500
0.3333 0.6667 0.0000
0.3333 0.6667 0.5000
0.6667 0.3333 0.0000
0.6667 0.3333 0.5000
0.6679 0.0000 0.7500
0.6679 0.6679 0.2500
0.0000 0.0000 0.0000
0.0000 0.0000 0.5000
0.0000 0.3310 0.7500
0.0000 0.6690 0.2500
0.3310 0.0000 0.7500
0.3310 0.3310 0.2500
0.6690 0.0000 0.2500
0.6690 0.6690 0.7500
```

Most intense lines, 2θ = 15–90°, by angle:
2θ 31.7, I 100; 2θ 31.8, I 91; 2θ 41.4, I 8; 2θ 45.6, I 34; 2θ 53.3, I 8; 2θ 56.5, I 55; 2θ 63.4, I 28; 2θ 66.2, I 12; 2θ 75.4, I 15; 2θ 81.4, I 14; 2θ 84.1, I 6; 2θ 90.0, I 11



2.
The following is a theoretical X-ray diffraction stick pattern of MgOsW2. It was derived from the GGA-PBE geometry in Alexandria, using Cu Kα X-rays.
Neutral-atom scattering factors, no anomalous dispersion.

```
MgOsW2
1.0
3.1123 0.0000 0.0000
0.0000 4.4155 0.0000
0.0000 0.0000 9.1713
Mg Os W
2 2 4
Direct
0.0000 0.0000 0.0000
0.5000 0.5000 0.5000
0.0000 0.0000 0.5000
0.5000 0.5000 0.0000
0.0000 0.5000 0.2374
0.0000 0.5000 0.7626
0.5000 0.0000 0.2626
0.5000 0.0000 0.7374
```

Most intense lines, 2θ = 15–90°, by angle:
2θ 19.4, I 10; 2θ 22.3, I 25; 2θ 39.3, I 26; 2θ 40.6, I 100; 2θ 40.9, I 25; 2θ 41.4, I 9; 2θ 58.0, I 17; 2θ 72.1, I 16; 2θ 73.6, I 8; 2θ 74.2, I 17; 2θ 74.6, I 9; 2θ 87.8, I 11